1.
Ho4InAgRu2: simulated powder diffraction line list (Cu Kα X-rays), based on the GGA-PBE geometry in Alexandria.
Kinematic intensities with the Lorentz-polarization factor, no thermal factor.

Most intense lines, 15 to 90 degrees two-theta, sorted by position:
- 3.528 Å, 2θ 25.24, rel. 4.6
- 2.495 Å, 2θ 36.00, rel. 100.0
- 2.037 Å, 2θ 44.48, rel. 1.4
- 1.764 Å, 2θ 51.83, rel. 17.4
- 1.578 Å, 2θ 58.50, rel. 2.0
- 1.440 Å, 2θ 64.72, rel. 35.1
- 1.247 Å, 2θ 76.35, rel. 10.8
- 1.116 Å, 2θ 87.42, rel. 15.6

Structural model:
```
data_Ho4InAgRu2
_chemical_formula_sum 'Ho4 In1 Ag1 Ru2'
_space_group_name_H-M_alt 'P 1'
_space_group_IT_number 1
_cell_length_a 8.6386
_cell_length_b 8.6386
_cell_length_c 8.6386
_cell_angle_alpha 33.58
_cell_angle_beta 33.58
_cell_angle_gamma 33.58
loop_
_space_group_symop_operation_xyz
'x,y,z'
loop_
_atom_site_label
_atom_site_type_symbol
_atom_site_fract_x
_atom_site_fract_y
_atom_site_fract_z
_atom_site_occupancy
Ho1 Ho 0.1218 0.1218 0.1218 1
Ho2 Ho 0.3724 0.3724 0.3724 1
Ho3 Ho 0.6276 0.6276 0.6276 1
Ho4 Ho 0.8782 0.8782 0.8782 1
In1 In 0.5000 0.5000 0.5000 1
Ag1 Ag 0.0000 0.0000 0.0000 1
Ru1 Ru 0.2484 0.2484 0.2484 1
Ru2 Ru 0.7516 0.7516 0.7516 1
```


2.
Tb2HoIn2Ag2: simulated powder diffraction line list (Cu Kα X-rays), based on the GGA-PBE geometry in Alexandria.
Kinematic intensities with the Lorentz-polarization factor, no thermal factor.

Most intense lines, 15 to 90 degrees two-theta, sorted by position:
- 4.138 Å, 2θ 21.47, rel. 16.5
- 2.823 Å, 2θ 31.69, rel. 46.8
- 2.613 Å, 2θ 34.31, rel. 91.5
- 2.418 Å, 2θ 37.18, rel. 100.0
- 1.775 Å, 2θ 51.49, rel. 28.6
- 1.435 Å, 2θ 64.97, rel. 27.4
- 1.431 Å, 2θ 65.20, rel. 27.8
- 1.396 Å, 2θ 67.03, rel. 17.2

Structural model:
```
data_Tb2HoIn2Ag2
_chemical_formula_sum 'Tb2 Ho1 In2 Ag2'
_space_group_name_H-M_alt 'P 1'
_space_group_IT_number 1
_cell_length_a 9.3447
_cell_length_b 9.3447
_cell_length_c 9.3447
_cell_angle_alpha 29.99
_cell_angle_beta 29.99
_cell_angle_gamma 29.99
loop_
_space_group_symop_operation_xyz
'x,y,z'
loop_
_atom_site_label
_atom_site_type_symbol
_atom_site_fract_x
_atom_site_fract_y
_atom_site_fract_z
_atom_site_occupancy
Tb1 Tb 0.1258 0.1258 0.1258 1
Tb2 Tb 0.8742 0.8742 0.8742 1
Ho1 Ho 0.0000 0.0000 0.0000 1
In1 In 0.2609 0.2609 0.2609 1
In2 In 0.7391 0.7391 0.7391 1
Ag1 Ag 0.3944 0.3944 0.3944 1
Ag2 Ag 0.6056 0.6056 0.6056 1
```


3.
Ho4TlIn2Ag: simulated powder diffraction line list (Cu Kα X-rays), based on the GGA-PBE geometry in Alexandria.
Kinematic intensities with the Lorentz-polarization factor, no thermal factor.

Most intense lines, 15 to 90 degrees two-theta, sorted by position:
- 2.642 Å, 2θ 33.93, rel. 99.9
- 2.635 Å, 2θ 34.03, rel. 100.0
- 1.866 Å, 2θ 48.81, rel. 35.8
- 1.527 Å, 2θ 60.64, rel. 18.1
- 1.522 Å, 2θ 60.86, rel. 55.3
- 1.317 Å, 2θ 71.64, rel. 11.4
- 1.181 Å, 2θ 81.50, rel. 15.6
- 1.179 Å, 2θ 81.68, rel. 16.0

Structural model:
```
data_Ho4TlIn2Ag
_chemical_formula_sum 'Ho4 Tl1 In2 Ag1'
_space_group_name_H-M_alt 'P 1'
_space_group_IT_number 1
_cell_length_a 9.1628
_cell_length_b 9.1628
_cell_length_c 9.1628
_cell_angle_alpha 33.42
_cell_angle_beta 33.42
_cell_angle_gamma 33.42
loop_
_space_group_symop_operation_xyz
'x,y,z'
loop_
_atom_site_label
_atom_site_type_symbol
_atom_site_fract_x
_atom_site_fract_y
_atom_site_fract_z
_atom_site_occupancy
Ho1 Ho 0.1223 0.1223 0.1223 1
Ho2 Ho 0.3728 0.3728 0.3728 1
Ho3 Ho 0.6272 0.6272 0.6272 1
Ho4 Ho 0.8777 0.8777 0.8777 1
Tl1 Tl 0.5000 0.5000 0.5000 1
In1 In 0.2513 0.2513 0.2513 1
In2 In 0.7487 0.7487 0.7487 1
Ag1 Ag 0.0000 0.0000 0.0000 1
```


4.
Ho7Ag2Ir2: simulated powder diffraction line list (Cu Kα X-rays), based on the GGA-PBE geometry in Alexandria.
Kinematic intensities with the Lorentz-polarization factor, no thermal factor.

Most intense lines, 15 to 90 degrees two-theta, sorted by position:
- 3.489 Å, 2θ 25.53, rel. 41.7
- 3.213 Å, 2θ 27.76, rel. 28.8
- 3.087 Å, 2θ 28.92, rel. 30.1
- 2.676 Å, 2θ 33.48, rel. 52.8
- 2.647 Å, 2θ 33.86, rel. 20.8
- 2.392 Å, 2θ 37.60, rel. 41.0
- 2.373 Å, 2θ 37.91, rel. 100.0
- 2.009 Å, 2θ 45.14, rel. 20.0

Structural model:
```
data_Ho7Ag2Ir2
_chemical_formula_sum 'Ho7 Ag2 Ir2'
_space_group_name_H-M_alt 'P 1'
_space_group_IT_number 1
_cell_length_a 6.6925
_cell_length_b 6.6925
_cell_length_c 7.0396
_cell_angle_alpha 90.00
_cell_angle_beta 90.00
_cell_angle_gamma 106.22
loop_
_space_group_symop_operation_xyz
'x,y,z'
loop_
_atom_site_label
_atom_site_type_symbol
_atom_site_fract_x
_atom_site_fract_y
_atom_site_fract_z
_atom_site_occupancy
Ho1 Ho 0.0000 0.0000 0.0000 1
Ho2 Ho 0.0000 0.5000 0.2533 1
Ho3 Ho 0.0000 0.5000 0.7467 1
Ho4 Ho 0.5000 0.0000 0.2533 1
Ho5 Ho 0.5000 0.0000 0.7467 1
Ho6 Ho 0.5000 0.5000 0.2467 1
Ho7 Ho 0.5000 0.5000 0.7533 1
Ag1 Ag 0.1814 0.1814 0.5000 1
Ag2 Ag 0.8186 0.8186 0.5000 1
Ir1 Ir 0.2865 0.7135 0.0000 1
Ir2 Ir 0.7135 0.2865 0.0000 1
```


5.
La2HoAg5: simulated powder diffraction line list (Cu Kα X-rays), based on the GGA-PBE geometry in Alexandria.
Kinematic intensities with the Lorentz-polarization factor, no thermal factor.

Most intense lines, 15 to 90 degrees two-theta, sorted by position:
- 3.550 Å, 2θ 25.09, rel. 4.2
- 2.584 Å, 2θ 34.71, rel. 100.0
- 2.031 Å, 2θ 44.60, rel. 4.6
- 1.824 Å, 2θ 49.99, rel. 12.9
- 1.495 Å, 2θ 62.09, rel. 6.4
- 1.491 Å, 2θ 62.27, rel. 22.0
- 1.290 Å, 2θ 73.38, rel. 4.9
- 1.154 Å, 2θ 83.81, rel. 11.7

Structural model:
```
data_La2HoAg5
_chemical_formula_sum 'La4 Ho2 Ag10'
_space_group_name_H-M_alt 'P 1'
_space_group_IT_number 1
_cell_length_a 5.1601
_cell_length_b 5.1601
_cell_length_c 14.6732
_cell_angle_alpha 90.00
_cell_angle_beta 90.00
_cell_angle_gamma 90.00
loop_
_space_group_symop_operation_xyz
'x,y,z'
loop_
_atom_site_label
_atom_site_type_symbol
_atom_site_fract_x
_atom_site_fract_y
_atom_site_fract_z
_atom_site_occupancy
La1 La 0.0000 0.0000 0.2287 1
La2 La 0.0000 0.0000 0.7713 1
La3 La 0.5000 0.5000 0.2713 1
La4 La 0.5000 0.5000 0.7287 1
Ho1 Ho 0.0000 0.0000 0.5000 1
Ho2 Ho 0.5000 0.5000 0.0000 1
Ag1 Ag 0.0000 0.0000 0.0000 1
Ag2 Ag 0.0000 0.5000 0.1077 1
Ag3 Ag 0.0000 0.5000 0.3923 1
Ag4 Ag 0.0000 0.5000 0.6077 1
Ag5 Ag 0.0000 0.5000 0.8923 1
Ag6 Ag 0.5000 0.0000 0.1077 1
Ag7 Ag 0.5000 0.0000 0.3923 1
Ag8 Ag 0.5000 0.0000 0.6077 1
Ag9 Ag 0.5000 0.0000 0.8923 1
Ag10 Ag 0.5000 0.5000 0.5000 1
```


6.
LaHo2Ag2: simulated powder diffraction line list (Cu Kα X-rays), based on the GGA-PBE geometry in Alexandria.
Kinematic intensities with the Lorentz-polarization factor, no thermal factor.

Most intense lines, 15 to 90 degrees two-theta, sorted by position:
- 2.731 Å, 2θ 32.80, rel. 21.0
- 2.698 Å, 2θ 33.21, rel. 28.8
- 2.644 Å, 2θ 33.90, rel. 100.0
- 1.919 Å, 2θ 47.37, rel. 15.1
- 1.824 Å, 2θ 50.02, rel. 9.6
- 1.559 Å, 2θ 59.26, rel. 9.4
- 1.547 Å, 2θ 59.78, rel. 19.1
- 1.511 Å, 2θ 61.37, rel. 10.8

Structural model:
```
data_LaHo2Ag2
_chemical_formula_sum 'La2 Ho4 Ag4'
_space_group_name_H-M_alt 'P 1'
_space_group_IT_number 1
_cell_length_a 3.6474
_cell_length_b 5.3958
_cell_length_c 13.7747
_cell_angle_alpha 90.00
_cell_angle_beta 97.58
_cell_angle_gamma 90.00
loop_
_space_group_symop_operation_xyz
'x,y,z'
loop_
_atom_site_label
_atom_site_type_symbol
_atom_site_fract_x
_atom_site_fract_y
_atom_site_fract_z
_atom_site_occupancy
La1 La 0.1453 0.2500 0.2893 1
La2 La 0.8547 0.7500 0.7107 1
Ho1 Ho 0.0471 0.7500 0.0943 1
Ho2 Ho 0.2344 0.7500 0.4685 1
Ho3 Ho 0.7656 0.2500 0.5315 1
Ho4 Ho 0.9529 0.2500 0.9057 1
Ag1 Ag 0.3573 0.2500 0.7158 1
Ag2 Ag 0.4577 0.7500 0.9154 1
Ag3 Ag 0.5423 0.2500 0.0846 1
Ag4 Ag 0.6427 0.7500 0.2842 1
```


Which formula does entry 4 have?
Ho7Ag2Ir2


Please write out number 6 again, unchanged.
LaHo2Ag2: simulated powder diffraction line list (Cu Kα X-rays), based on the GGA-PBE geometry in Alexandria.
Kinematic intensities with the Lorentz-polarization factor, no thermal factor.

Most intense lines, 15 to 90 degrees two-theta, sorted by position:
- 2.731 Å, 2θ 32.80, rel. 21.0
- 2.698 Å, 2θ 33.21, rel. 28.8
- 2.644 Å, 2θ 33.90, rel. 100.0
- 1.919 Å, 2θ 47.37, rel. 15.1
- 1.824 Å, 2θ 50.02, rel. 9.6
- 1.559 Å, 2θ 59.26, rel. 9.4
- 1.547 Å, 2θ 59.78, rel. 19.1
- 1.511 Å, 2θ 61.37, rel. 10.8

Structural model:
```
data_LaHo2Ag2
_chemical_formula_sum 'La2 Ho4 Ag4'
_space_group_name_H-M_alt 'P 1'
_space_group_IT_number 1
_cell_length_a 3.6474
_cell_length_b 5.3958
_cell_length_c 13.7747
_cell_angle_alpha 90.00
_cell_angle_beta 97.58
_cell_angle_gamma 90.00
loop_
_space_group_symop_operation_xyz
'x,y,z'
loop_
_atom_site_label
_atom_site_type_symbol
_atom_site_fract_x
_atom_site_fract_y
_atom_site_fract_z
_atom_site_occupancy
La1 La 0.1453 0.2500 0.2893 1
La2 La 0.8547 0.7500 0.7107 1
Ho1 Ho 0.0471 0.7500 0.0943 1
Ho2 Ho 0.2344 0.7500 0.4685 1
Ho3 Ho 0.7656 0.2500 0.5315 1
Ho4 Ho 0.9529 0.2500 0.9057 1
Ag1 Ag 0.3573 0.2500 0.7158 1
Ag2 Ag 0.4577 0.7500 0.9154 1
Ag3 Ag 0.5423 0.2500 0.0846 1
Ag4 Ag 0.6427 0.7500 0.2842 1
```